Entry 1:
Diffraction record for Zr5Se8. The powder diffraction line list is computed, not measured: it uses a crystal structure in Alexandria, relaxed with GGA-PBE and a wavelength of 1.5418 Å.
No peak broadening, texture or thermal motion is included.

Principal peaks in the range 2θ = 10–90°, sorted by position:
| 2θ/deg | I (rel.) |
| --- | --- |
| 13.46 | 43 |
| 32.83 | 100 |
| 33.41 | 49 |
| 36.01 | 30 |
| 37.12 | 20 |
| 45.69 | 22 |
| 46.48 | 38 |
| 48.50 | 28 |
| 48.58 | 53 |
| 60.17 | 17 |

```
Zr5Se8
1.0
13.176 -1.877 0.000
13.176 1.877 0.000
-0.383 0.000 6.479
Zr Se
5 8
Direct
0.000 0.000 0.000
0.251 0.251 0.758
0.371 0.371 0.128
0.502 0.502 0.502
0.756 0.756 0.253
0.062 0.062 0.683
0.192 0.192 0.401
0.319 0.319 0.457
0.436 0.436 0.811
0.561 0.561 0.181
0.690 0.690 0.912
0.819 0.819 0.914
0.935 0.935 0.325
```

Entry 2:
Diffraction record for Nb3CrS6. The powder diffraction line list is computed, not measured: it uses a crystal structure in Alexandria, relaxed with GGA-PBE and a wavelength of 1.5418 Å.
No peak broadening, texture or thermal motion is included.

Principal peaks in the range 2θ = 10–90°, sorted by position:
| 2θ/deg | I (rel.) |
| --- | --- |
| 14.55 | 67 |
| 30.82 | 39 |
| 31.71 | 18 |
| 34.24 | 58 |
| 38.13 | 13 |
| 43.08 | 100 |
| 54.82 | 35 |
| 55.25 | 12 |
| 72.14 | 20 |
| 86.39 | 18 |

```
Nb3CrS6
1.0
5.802 0.000 0.000
-2.901 5.024 0.000
0.000 0.000 12.174
Nb Cr S
6 2 12
Direct
0.000 0.000 0.000
0.000 0.000 0.500
0.333 0.667 0.003
0.333 0.667 0.497
0.667 0.333 0.503
0.667 0.333 0.997
0.333 0.667 0.750
0.667 0.333 0.250
0.002 0.334 0.630
0.002 0.668 0.870
0.332 0.334 0.870
0.332 0.998 0.630
0.334 0.002 0.370
0.334 0.332 0.130
0.666 0.668 0.630
0.666 0.998 0.870
0.668 0.002 0.130
0.668 0.666 0.370
0.998 0.332 0.370
0.998 0.666 0.130
```

Entry 3:
Diffraction record for Pr3Cu3Pd. The powder diffraction line list is computed, not measured: it uses a crystal structure in Alexandria, relaxed with GGA-PBE and a wavelength of 1.5418 Å.
No peak broadening, texture or thermal motion is included.

Principal peaks in the range 2θ = 10–90°, sorted by position:
| 2θ/deg | I (rel.) |
| --- | --- |
| 24.74 | 25 |
| 32.12 | 100 |
| 32.70 | 56 |
| 36.09 | 29 |
| 38.86 | 33 |
| 41.45 | 30 |
| 41.99 | 20 |
| 46.37 | 22 |
| 53.77 | 27 |
| 63.93 | 16 |

```
Pr3Cu3Pd
1.0
-1.958 2.179 9.577
1.958 -2.179 9.577
1.958 2.179 -9.577
Pr Cu Pd
3 3 1
Direct
0.000 0.000 0.000
0.365 0.365 0.000
0.685 0.185 0.500
0.115 0.615 0.500
0.548 0.548 0.000
0.826 0.826 0.000
0.248 0.748 0.500
```

Entry 4:
Diffraction record for Ho2Er6Tl. The powder diffraction line list is computed, not measured: it uses a crystal structure in Alexandria, relaxed with GGA-PBE and a wavelength of 1.5418 Å.
No peak broadening, texture or thermal motion is included.

Principal peaks in the range 2θ = 10–90°, sorted by position:
| 2θ/deg | I (rel.) |
| --- | --- |
| 27.98 | 8 |
| 32.25 | 100 |
| 35.82 | 21 |
| 36.29 | 20 |
| 40.02 | 10 |
| 51.91 | 14 |
| 54.78 | 8 |
| 62.13 | 16 |
| 62.76 | 14 |
| 67.50 | 9 |

```
Ho2Er6Tl
1.0
-2.507 11.266 4.951
2.507 -11.266 4.951
2.507 11.266 -4.951
Ho Er Tl
4 12 2
Direct
0.181 0.128 0.053
0.424 0.872 0.553
0.576 0.128 0.447
0.819 0.872 0.947
0.047 0.885 0.162
0.064 0.621 0.443
0.223 0.885 0.338
0.299 0.632 0.667
0.321 0.379 0.943
0.465 0.632 0.833
0.535 0.368 0.167
0.679 0.621 0.057
0.701 0.368 0.333
0.777 0.115 0.662
0.936 0.379 0.557
0.953 0.115 0.838
0.123 0.373 0.750
0.877 0.627 0.250
```

Entry 5:
Diffraction record for PmHoSe2. The powder diffraction line list is computed, not measured: it uses a crystal structure in Alexandria, relaxed with GGA-PBE and a wavelength of 1.5418 Å.
No peak broadening, texture or thermal motion is included.

Principal peaks in the range 2θ = 10–90°, sorted by position:
| 2θ/deg | I (rel.) |
| --- | --- |
| 28.43 | 100 |
| 31.89 | 81 |
| 36.25 | 28 |
| 41.26 | 28 |
| 44.66 | 62 |
| 46.77 | 33 |
| 53.79 | 17 |
| 55.92 | 16 |
| 71.20 | 29 |
| 72.42 | 14 |

```
PmHoSe2
1.0
4.058 0.000 0.000
-2.029 3.514 0.000
0.000 0.000 13.983
Pm Ho Se
2 2 4
Direct
0.333 0.667 0.250
0.667 0.333 0.750
0.000 0.000 0.000
0.000 0.000 0.500
0.333 0.667 0.617
0.333 0.667 0.883
0.667 0.333 0.117
0.667 0.333 0.383
```

Entry 6:
Diffraction record for Nb4O9. The powder diffraction line list is computed, not measured: it uses a crystal structure in Alexandria, relaxed with GGA-PBE and a wavelength of 1.5418 Å.
No peak broadening, texture or thermal motion is included.

Principal peaks in the range 2θ = 10–90°, sorted by position:
| 2θ/deg | I (rel.) |
| --- | --- |
| 23.04 | 100 |
| 24.20 | 72 |
| 26.33 | 23 |
| 26.59 | 33 |
| 27.80 | 46 |
| 28.26 | 81 |
| 29.51 | 38 |
| 33.26 | 42 |
| 35.25 | 50 |
| 35.64 | 31 |

```
Nb4O9
1.0
5.099 0.000 0.000
-0.247 5.645 0.000
-2.202 -1.978 6.315
Nb O
4 9
Direct
0.000 0.000 0.000
0.205 0.447 0.422
0.519 0.498 0.988
0.780 0.925 0.449
0.107 0.784 0.502
0.205 0.738 0.968
0.286 0.223 0.956
0.482 0.456 0.691
0.496 0.620 0.316
0.741 0.992 0.721
0.758 0.866 0.129
0.870 0.385 0.119
0.929 0.266 0.480
```

Entry 7:
Diffraction record for LiMg3Cu. The powder diffraction line list is computed, not measured: it uses a crystal structure in Alexandria, relaxed with GGA-PBE and a wavelength of 1.5418 Å.
No peak broadening, texture or thermal motion is included.

Principal peaks in the range 2θ = 10–90°, sorted by position:
| 2θ/deg | I (rel.) |
| --- | --- |
| 10.01 | 100 |
| 20.10 | 11 |
| 31.31 | 11 |
| 37.49 | 75 |
| 38.93 | 18 |
| 39.04 | 18 |
| 40.32 | 11 |
| 45.41 | 17 |
| 56.31 | 12 |
| 69.55 | 11 |

```
LiMg3Cu
1.0
4.615 0.000 0.000
0.000 4.627 0.000
-2.284 0.000 8.834
Li Mg Cu
2 6 2
Direct
0.054 0.250 0.108
0.946 0.750 0.892
0.166 0.750 0.332
0.334 0.750 0.669
0.447 0.250 0.894
0.553 0.750 0.106
0.666 0.250 0.331
0.834 0.250 0.668
0.251 0.250 0.501
0.749 0.750 0.499
```

Entry 8:
Diffraction record for Na2Zr2AlTe6. The powder diffraction line list is computed, not measured: it uses a crystal structure in Alexandria, relaxed with GGA-PBE and a wavelength of 1.5418 Å.
No peak broadening, texture or thermal motion is included.

Principal peaks in the range 2θ = 10–90°, sorted by position:
| 2θ/deg | I (rel.) |
| --- | --- |
| 11.59 | 50 |
| 25.79 | 31 |
| 29.21 | 48 |
| 29.34 | 100 |
| 40.00 | 33 |
| 40.72 | 18 |
| 43.21 | 18 |
| 43.70 | 34 |
| 50.39 | 16 |
| 53.01 | 17 |

```
Na2Zr2AlTe6
1.0
3.575 -6.281 0.000
3.575 6.281 0.000
-2.519 0.000 7.637
Na Zr Al Te
2 2 1 6
Direct
0.166 0.834 0.000
0.834 0.166 0.000
0.327 0.673 0.500
0.673 0.327 0.500
0.000 0.000 0.500
0.082 0.404 0.720
0.251 0.251 0.294
0.404 0.082 0.720
0.596 0.918 0.280
0.749 0.749 0.706
0.918 0.596 0.280
```